Simulated powder diffraction line list of Pm3ErRh3 for Cu Kα (λ = 1.5418 Å), from a crystal structure in Alexandria, relaxed with GGA-PBE.
Kinematic intensities with the Lorentz-polarization factor, no thermal factor.

Structure:
```
Pm3ErRh3
1.0
4.6663 -5.1917 0.0000
4.6663 5.1917 0.0000
-0.0770 0.0000 7.0658
Pm Er Rh
6 2 6
Cartesian
4.6663 3.3162 0.0000
4.6278 2.5617 3.5329
3.0608 0.0000 0.8437
6.1948 0.0000 6.2221
4.6278 -2.5617 3.5329
4.6663 -3.3162 0.0000
2.1853 0.0000 4.3964
7.0703 0.0000 2.6694
2.3132 2.5462 5.4521
0.5483 0.0000 2.1420
2.3132 -2.5462 5.4521
6.9424 2.5462 1.6137
8.7073 0.0000 4.9238
6.9424 -2.5462 1.6137
```

The 10 most intense peaks (2θ = 10–90°), low angle first:
2theta	d/Å	intensity
28.44	3.138	36
30.32	2.948	43
31.94	2.802	51
32.49	2.756	44
34.55	2.596	72
36.13	2.486	100
37.71	2.385	48
38.59	2.333	35
54.59	1.681	36
54.90	1.672	34